Ac3GeO7: calculated powder diffraction line list (Cu Kα (λ = 1.5418 Å)), based on a cell relaxed with PBE.

Unit cell a=6.912 b=6.912 c=8.031 alpha=90.00 beta=90.00 gamma=109.95
Sites, in units of the cell vectors:
Ac: 0.001 0.001 0.000
Ac: 0.026 0.500 0.250
Ac: 0.500 0.026 0.750
Ac: 0.500 0.974 0.250
Ac: 0.974 0.500 0.750
Ac: 0.999 0.999 0.500
Ge: 0.499 0.499 0.000
Ge: 0.501 0.501 0.500
O: 0.129 0.871 0.750
O: 0.131 0.869 0.250
O: 0.205 0.438 0.980
O: 0.206 0.439 0.520
O: 0.438 0.205 0.020
O: 0.439 0.206 0.480
O: 0.451 0.549 0.250
O: 0.549 0.451 0.750
O: 0.561 0.794 0.980
O: 0.562 0.795 0.520
O: 0.794 0.561 0.020
O: 0.795 0.562 0.480
O: 0.869 0.131 0.750
O: 0.871 0.129 0.250

Principal peaks in the range 10° ≤ 2θ ≤ 90°, sorted by position:
2θ 27.2, d = 3.275 Å, intensity 100.0; 2θ 27.5, d = 3.248 Å, intensity 99.9; 2θ 31.7, d = 2.825 Å, intensity 77.3; 2θ 45.2, d = 2.008 Å, intensity 17.3; 2θ 45.4, d = 1.998 Å, intensity 57.6; 2θ 53.7, d = 1.708 Å, intensity 45.6; 2θ 53.8, d = 1.704 Å, intensity 14.3; 2θ 54.1, d = 1.697 Å, intensity 28.7